For CaSm7Ho2, the PBE geometry in Alexandria gives the simulated XRD peak list in this record (λ = 1.5418 Å (Cu Kα)).

Atomic structure:
abc: 6.2663 6.2796 9.6050
angles: 71.02 71.02 80.39
Atoms (fractional coordinates):
Ca: 0.0000 0.0000 0.0000
Sm: 0.2028 0.0009 0.5944
Sm: 0.3104 0.4992 0.8968
Sm: 0.3948 0.0003 0.2055
Sm: 0.5000 0.5000 0.5000
Sm: 0.6052 0.9997 0.7945
Sm: 0.6896 0.5008 0.1032
Sm: 0.7972 0.9991 0.4056
Ho: 0.1001 0.4929 0.3038
Ho: 0.8999 0.5071 0.6962

Most intense lines, 2θ = 15–90°, most intense first:
hkl 2 1 1, 30.18°, d 2.961, I = 100; hkl 1 2 3, 35.04°, d 2.561, I = 34; hkl 3 1 4, 50.37°, d 1.812, I = 24; hkl 1 4 3, 59.82°, d 1.546, I = 18; hkl 1 1 -2, 34.90°, d 2.571, I = 17; hkl 1 -2 3, 50.24°, d 1.816, I = 12; hkl 1 3 -2, 59.66°, d 1.550, I = 11; hkl 3 3 4, 59.89°, d 1.544, I = 11; hkl 0 4 0, 62.72°, d 1.481, I = 9; hkl 4 4 2, 81.95°, d 1.176, I = 9